Pr2Ta2Cl2O7: calculated XRD peak list (a wavelength of 1.5418 Å), based on a GGA-PBE-relaxed structure.

Top 10 peaks for 2θ from 10° to 90°, low angle first:
13.9°, intensity 49.5, (0 0 1)
23.1°, intensity 41.9, (4 0 -1)
23.3°, intensity 32.5, (1 1 0)
28.5°, intensity 39.2, (1 1 1)
29.1°, intensity 63.9, (4 0 -2)
29.3°, intensity 100.0, (3 1 0)
33.3°, intensity 31.2, (4 0 1)
34.6°, intensity 59.5, (1 1 -2)
45.8°, intensity 32.2, (0 2 0)
46.9°, intensity 32.8, (8 0 -1)

Atomic structure:
```
data_Pr2Ta2Cl2O7
_symmetry_space_group_name_H-M 'C 1 2/m 1'
_symmetry_Int_Tables_number 12
_symmetry_space_group_name_Hall '-C 2y'
_cell_length_a 15.6305
_cell_length_b 3.9647
_cell_length_c 6.9742
_cell_angle_alpha 90.00
_cell_angle_beta 113.69
_cell_angle_gamma 90.00
loop_
_atom_site_label
_atom_site_fract_x
_atom_site_fract_y
_atom_site_fract_z
Pr1 0.1917 0.0000 0.1649
Ta1 0.0343 0.5000 0.7984
Cl1 0.1786 0.0000 0.5659
O1 0.0000 0.5000 0.5000
O2 0.0446 0.0000 0.8349
O3 0.0803 0.5000 0.1524
O4 0.1736 0.5000 0.9298
```

Pr3TiCl5O4: calculated XRD peak list (a wavelength of 1.5418 Å), based on a GGA-PBE-relaxed structure.

Top 10 peaks for 2θ from 10° to 90°, low angle first:
21.0°, intensity 100.0, (2 0 3)
21.1°, intensity 50.3, (4 0 0)
25.6°, intensity 25.8, (1 1 2)
30.5°, intensity 30.9, (2 1 3)
36.7°, intensity 40.5, (0 0 6)
36.7°, intensity 32.9, (5 1 2)
36.9°, intensity 74.4, (6 0 3)
44.5°, intensity 35.3, (0 2 0)
49.7°, intensity 32.5, (4 2 0)
59.2°, intensity 35.7, (6 2 3)

Atomic structure:
```
data_Pr3TiCl5O4
_symmetry_space_group_name_H-M 'P n m a'
_symmetry_Int_Tables_number 62
_symmetry_space_group_name_Hall '-P 2ac 2n'
_cell_length_a 16.8198
_cell_length_b 4.0739
_cell_length_c 14.6921
_cell_angle_alpha 90.00
_cell_angle_beta 90.00
_cell_angle_gamma 90.00
loop_
_atom_site_label
_atom_site_fract_x
_atom_site_fract_y
_atom_site_fract_z
Pr1 0.1205 0.2500 0.0808
Pr2 0.1208 0.7500 0.4157
Pr3 0.1298 0.2500 0.7389
Ti1 0.2086 0.7500 0.9105
Cl1 0.0163 0.2500 0.9034
Cl2 0.0213 0.2500 0.2842
Cl3 0.0542 0.2500 0.5571
Cl4 0.1795 0.7500 0.2253
Cl5 0.2021 0.7500 0.6006
O1 0.1517 0.7500 0.0184
O2 0.1543 0.7500 0.8010
O3 0.1816 0.2500 0.4100
O4 0.2084 0.2500 0.9086
```

Rb3ClO: calculated XRD peak list (a wavelength of 1.5418 Å), based on a GGA-PBE-relaxed structure.

Top 10 peaks for 2θ from 10° to 90°, low angle first:
26.5°, intensity 41.7, (0 1 3)
28.3°, intensity 100.0, (1 1 3)
29.0°, intensity 83.7, (2 1 1)
29.7°, intensity 57.1, (1 0 5)
29.8°, intensity 46.7, (2 0 4)
30.1°, intensity 42.5, (3 0 1)
30.6°, intensity 76.1, (2 1 2)
41.5°, intensity 38.6, (0 2 0)
46.1°, intensity 35.9, (1 1 7)
51.9°, intensity 41.3, (1 2 5)

Atomic structure:
```
data_Rb3ClO
_symmetry_space_group_name_H-M 'P n m a'
_symmetry_Int_Tables_number 62
_symmetry_space_group_name_Hall '-P 2ac 2n'
_cell_length_a 9.0699
_cell_length_b 4.3560
_cell_length_c 15.9418
_cell_angle_alpha 90.00
_cell_angle_beta 90.00
_cell_angle_gamma 90.00
loop_
_atom_site_label
_atom_site_fract_x
_atom_site_fract_y
_atom_site_fract_z
Rb1 0.0222 0.2500 0.0946
Rb2 0.1732 0.2500 0.4999
Rb3 0.2100 0.7500 0.2913
Cl1 0.0792 0.7500 0.6740
O1 0.1688 0.2500 0.9390
```

Rb3ClO: calculated XRD peak list (a wavelength of 1.5418 Å), based on a GGA-PBE-relaxed structure.

Top 10 peaks for 2θ from 10° to 90°, low angle first:
16.2°, intensity 12.2, (0 2 0)
25.8°, intensity 25.4, (1 0 2)
27.0°, intensity 47.9, (0 3 1)
28.3°, intensity 100.0, (2 2 0)
30.6°, intensity 27.7, (2 2 1)
32.7°, intensity 57.4, (0 4 0)
35.8°, intensity 11.7, (0 1 3)
36.7°, intensity 9.5, (3 0 1)
47.0°, intensity 18.8, (2 4 2)
49.3°, intensity 28.9, (2 5 1)

Atomic structure:
```
data_Rb3ClO
_symmetry_space_group_name_H-M 'P n m a'
_symmetry_Int_Tables_number 62
_symmetry_space_group_name_Hall '-P 2ac 2n'
_cell_length_a 7.7379
_cell_length_b 10.9589
_cell_length_c 7.7189
_cell_angle_alpha 90.00
_cell_angle_beta 90.00
_cell_angle_gamma 90.00
loop_
_atom_site_label
_atom_site_fract_x
_atom_site_fract_y
_atom_site_fract_z
Rb1 0.0224 0.2500 0.0725
Rb2 0.2006 0.0348 0.7005
Cl1 0.0338 0.7500 0.4974
O1 0.0000 0.0000 0.0000
```